[1]
Calculated powder X-ray diffraction pattern
Compound: Gd3Cd2InPd2Au
Radiation: Cu Ka
Structure: a crystal structure in OQMD, relaxed with GGA-PBE
Peak positions follow from Bragg's law for the DFT cell and can differ from measured ones.

Structural model:
```
data_Gd3Cd2InPd2Au
_chemical_formula_sum 'Gd3 Cd2 In1 Pd2 Au1'
_cell_length_a 3.9172
_cell_length_b 7.7810
_cell_length_c 7.7810
_cell_angle_alpha 120.22
_cell_angle_beta 90.00
_cell_angle_gamma 90.00
_space_group_name_H-M_alt 'P 1'
_space_group_IT_number 1
loop_
_space_group_symop_operation_xyz
'x,y,z'
loop_
_atom_site_label
_atom_site_type_symbol
_atom_site_fract_x
_atom_site_fract_y
_atom_site_fract_z
Gd1 Gd 0.0000 0.0000 0.0000
Gd2 Gd 0.0000 0.1892 0.5974
Gd3 Gd 0.0000 0.5974 0.1892
Cd1 Cd 0.5000 0.5940 0.8623
Cd2 Cd 0.5000 0.8623 0.5940
In1 In 0.5000 0.3324 0.3324
Pd1 Pd 0.5000 0.2631 0.9342
Pd2 Pd 0.5000 0.9342 0.2631
Au1 Au 0.0000 0.5961 0.5961
```

Most intense lines, 2θ = 10–90°, sorted by position:
2θ = 32.45°, 2.759 Å, rel. 85
2θ = 35.15°, 2.553 Å, rel. 100
2θ = 35.24°, 2.547 Å, rel. 24
2θ = 40.24°, 2.241 Å, rel. 32
2θ = 42.33°, 2.135 Å, rel. 21
2θ = 46.36°, 1.959 Å, rel. 24
2θ = 63.00°, 1.476 Å, rel. 25
2θ = 64.84°, 1.438 Å, rel. 25


[2]
Calculated powder X-ray diffraction pattern
Compound: Zn3Te2Br2O6
Radiation: Cu Ka
Structure: a crystal structure in OQMD, relaxed with GGA-PBE
Peak positions follow from Bragg's law for the DFT cell and can differ from measured ones.

Structural model:
```
data_Zn3Te2Br2O6
_chemical_formula_sum 'Zn3 Te2 Br2 O6'
_cell_length_a 5.7234
_cell_length_b 5.7234
_cell_length_c 7.9817
_cell_angle_alpha 106.39
_cell_angle_beta 106.39
_cell_angle_gamma 68.43
_space_group_name_H-M_alt 'P 1'
_space_group_IT_number 1
loop_
_space_group_symop_operation_xyz
'x,y,z'
loop_
_atom_site_label
_atom_site_type_symbol
_atom_site_fract_x
_atom_site_fract_y
_atom_site_fract_z
Zn1 Zn 0.0000 0.0000 0.0000
Zn2 Zn 0.4270 0.4270 0.1489
Zn3 Zn 0.5730 0.5730 0.8511
Te1 Te 0.1568 0.1568 0.7250
Te2 Te 0.8432 0.8432 0.2750
Br1 Br 0.2825 0.2825 0.3681
Br2 Br 0.7175 0.7175 0.6319
O1 O 0.1097 0.7220 0.1412
O2 O 0.2780 0.8903 0.8588
O3 O 0.3600 0.3600 0.8674
O4 O 0.6400 0.6400 0.1326
O5 O 0.7220 0.1097 0.1412
O6 O 0.8903 0.2780 0.8588
```

Most intense lines, 2θ = 10–90°, sorted by position:
2θ = 26.55°, 3.357 Å, rel. 100
2θ = 27.72°, 3.218 Å, rel. 80
2θ = 34.45°, 2.604 Å, rel. 75
2θ = 36.61°, 2.455 Å, rel. 53
2θ = 38.76°, 2.323 Å, rel. 49
2θ = 50.54°, 1.806 Å, rel. 30
2θ = 53.48°, 1.713 Å, rel. 26
2θ = 55.03°, 1.669 Å, rel. 21